Entry 1:
For Pm4Tm6Sc, a DFT-relaxed cell (GGA-PBE, Alexandria) gives the computed powder diffractogram in this record (CuKα).

Peak list (12 most intense, 2θ = 10–90°, in order of rising 2θ)
d [Å]	2θ/deg	I_rel	hkl
2.895	30.9	10	0 1 -2
2.854	31.3	38	0 1 3
2.842	31.5	46	-1 2 1
2.819	31.7	43	2 1 2
2.793	32.0	36	1 -1 2
2.775	32.3	100	2 0 -1
2.521	35.6	10	0 2 3
2.022	44.8	13	1 3 3
1.982	45.8	12	3 -1 1
1.957	46.4	11	1 1 -3
1.628	56.5	12	-3 2 2
1.625	56.6	11	0 4 1

Crystal structure
Lattice parameters (Å, degrees): 6.5372 6.6423 8.7896 67.88 77.52 85.28
Space group P1 (No. 1)
Inequivalent atoms, fractional coordinates:
Pm 0.0000 0.0000 0.0000
Pm 0.1418 0.9152 0.3956
Pm 0.3876 0.3620 0.9561
Pm 0.6242 0.2566 0.2839
Tm 0.0846 0.4845 0.2579
Tm 0.2663 0.3644 0.6122
Tm 0.5012 0.8109 0.0588
Tm 0.6704 0.6903 0.4289
Tm 0.7749 0.1710 0.6629
Tm 0.8914 0.5997 0.8298
Sc 0.3826 0.8574 0.6992


Entry 2:
For Pm7Tm4Sc, a DFT-relaxed cell (GGA-PBE, Alexandria) gives the computed powder diffractogram in this record (CuKα).

Peak list (12 most intense, 2θ = 10–90°, in order of rising 2θ)
d [Å]	2θ/deg	I_rel	hkl
3.088	28.9	31	1 -2 0
3.024	29.5	28	1 -2 1
2.873	31.1	52	0 0 3
2.803	31.9	100	1 2 -1
2.668	33.6	58	1 2 2
2.660	33.7	29	2 0 -1
1.797	50.8	26	3 2 1
1.793	50.9	13	3 -2 1
1.675	54.8	14	1 2 -4
1.589	58.0	12	1 2 5
1.524	60.8	30	3 -2 4
1.489	62.4	10	-2 4 1

Crystal structure
Lattice parameters (Å, degrees): 6.2143 7.1905 8.8689 89.93 76.34 89.89
Space group P-1 (No. 2)
Inequivalent atoms, fractional coordinates:
Pm 0.0000 0.0000 0.0000
Pm 0.2270 0.0007 0.3360
Pm 0.2783 0.2546 0.6669
Pm 0.4979 0.7441 0.9989
Tm 0.2170 0.5005 0.3336
Tm 0.2749 0.7420 0.6695
Sc 0.0000 0.5000 0.0000


Entry 3:
For PmTm5Sc2, a DFT-relaxed cell (GGA-PBE, Alexandria) gives the computed powder diffractogram in this record (CuKα).

Peak list (12 most intense, 2θ = 10–90°, in order of rising 2θ)
d [Å]	2θ/deg	I_rel	hkl
4.862	18.2	8	1 1 0
3.454	25.8	7	1 1 2
2.816	31.8	100	2 0 2
2.453	36.6	17	0 0 4
2.431	37.0	33	2 2 0
1.727	53.0	24	2 2 4
1.719	53.3	12	4 0 0
1.477	62.9	14	2 0 6
1.467	63.4	27	4 2 2
1.408	66.4	12	4 0 4
1.120	87.0	12	4 2 6
1.116	87.4	6	6 0 2

Crystal structure
Lattice parameters (Å, degrees): 6.8758 6.8758 9.8140 90.00 90.00 90.00
Space group I4/mmm (No. 139)
Inequivalent atoms, fractional coordinates:
Pm 0.0000 0.0000 0.0000
Tm 0.0000 0.0000 0.5000
Tm 0.2500 0.2500 0.2500
Sc 0.0000 0.5000 0.0000


Entry 4:
For Pm12TmSc6, a DFT-relaxed cell (GGA-PBE, Alexandria) gives the computed powder diffractogram in this record (CuKα).

Peak list (12 most intense, 2θ = 10–90°, in order of rising 2θ)
d [Å]	2θ/deg	I_rel	hkl
7.507	11.8	16	1 1 0
3.357	26.5	18	3 1 0
3.065	29.1	100	2 2 2
2.838	31.5	96	3 2 1
2.654	33.8	54	4 0 0
2.502	35.9	17	4 1 1
2.374	37.9	15	4 0 2
2.082	43.5	16	5 0 1
1.821	50.1	24	5 0 3
1.722	53.2	35	5 3 2
1.501	61.8	23	5 4 3
1.119	87.1	16	7 5 4

Crystal structure
Lattice parameters (Å, degrees): 10.6171 10.6171 10.6171 90.00 90.00 90.00
Space group Im-3 (No. 204)
Inequivalent atoms, fractional coordinates:
Pm 0.0000 0.1985 0.2679
Tm 0.0000 0.0000 0.0000
Sc 0.0000 0.3620 0.5000


Entry 5:
For Pm2Tm5Sc4, a DFT-relaxed cell (GGA-PBE, Alexandria) gives the computed powder diffractogram in this record (CuKα).

Peak list (12 most intense, 2θ = 10–90°, in order of rising 2θ)
d [Å]	2θ/deg	I_rel	hkl
4.142	21.5	24	2 0 0
3.448	25.8	82	0 1 0
2.981	30.0	29	2 0 -3
2.831	31.6	39	1 1 -2
2.768	32.3	100	1 0 -4
2.707	33.1	25	1 1 2
2.650	33.8	44	2 1 0
2.601	34.5	36	2 0 3
2.531	35.5	43	0 1 3
2.255	40.0	27	2 1 -3
2.158	41.9	70	1 1 -4
1.463	63.6	33	1 2 -4

Crystal structure
Lattice parameters (Å, degrees): 8.3623 3.4484 11.2926 90.00 97.83 90.00
Space group P2/m (No. 10)
Inequivalent atoms, fractional coordinates:
Pm 0.0506 0.0000 0.1391
Tm 0.1562 0.0000 0.6340
Tm 0.4528 0.0000 0.2010
Tm 0.5000 0.0000 0.5000
Sc 0.1904 0.5000 0.3803
Sc 0.3002 0.5000 0.9535


Entry 6:
For Pm2Tm2Sc3, a DFT-relaxed cell (GGA-PBE, Alexandria) gives the computed powder diffractogram in this record (CuKα).

Peak list (12 most intense, 2θ = 10–90°, in order of rising 2θ)
d [Å]	2θ/deg	I_rel	hkl
4.878	18.2	48	0 0 2
3.292	27.1	52	0 2 0
2.953	30.3	22	1 0 2
2.849	31.4	100	2 1 -2
2.834	31.6	43	1 0 -4
2.729	32.8	64	0 2 2
2.695	33.2	51	1 1 2
2.510	35.8	40	2 1 0
2.412	37.3	23	2 1 -4
2.148	42.1	23	1 2 -4
1.803	50.6	20	2 3 -2
1.424	65.6	20	4 2 -4

Crystal structure
Lattice parameters (Å, degrees): 6.3276 6.5845 11.3671 90.00 120.87 90.00
Space group P2_1/c (No. 14)
Inequivalent atoms, fractional coordinates:
Pm 0.0794 0.2286 0.1812
Tm 0.3153 0.7444 0.6986
Sc 0.2762 0.0880 0.4915
Sc 0.5000 0.0000 0.0000